Computed X-ray powder pattern of PrHoGe2 for Cu Kα, 1.54184 Å, from a DFT-relaxed cell (GGA-PBE, OQMD).
No peak broadening, texture or thermal motion is included.

Lattice parameters (Å, degrees): 4.380 20.035 4.522 90.00 90.00 90.00
Space group Cmcm (No. 63)
One atom of each set of equivalent atoms:
Pr 0.000 0.091 0.250 [4 per cell]
Ho 0.000 0.253 0.750 [4 per cell]
Ge 0.000 0.347 0.250 [4 per cell]
Ge 0.000 0.472 0.250 [4 per cell]

Peak list (10 most intense, 2θ from 10° to 90°, low angle first)
hkl  d [Å]  intensity
0 6 0  3.339  11
1 5 0  2.956  18
1 3 1  2.846  100
1 5 1  2.475  10
0 0 2  2.261  21
2 0 0  2.190  37
2 0 2  1.573  13
2 8 1  1.549  12
1 3 3  1.394  11
3 3 1  1.360  10